No. 1
# RbCa3Rh
Calculated powder X-ray diffraction pattern, Cu Kα, 1.54184 Å. Input: the GGA-PBE geometry in Alexandria.

Top 8 peaks for 5 to 70 degrees two-theta, by angle:
| d_spacing | I/Imax |
| --- | --- |
| 12.135 | 100 |
| 6.067 | 16 |
| 5.171 | 30 |
| 4.608 | 32 |
| 4.072 | 40 |
| 3.288 | 37 |
| 2.852 | 28 |
| 2.589 | 24 |

Structural model:
```
10
Lattice="4.1337 0.0000 0.0000 0.0001 8.2020 0.0000 2.0229 1.4645 12.1349" Properties=species:S:1:pos:R:3 pbc="T T T"
Rb 0.0000 0.0000 0.0000
Rb 2.0907 5.6332 10.0144
Ca 2.0764 3.9257 5.7910
Ca 2.0764 6.9213 3.6042
Ca 2.0784 3.9116 2.0633
Ca 4.1437 1.7011 7.9527
Ca 4.1441 6.8941 6.4079
Ca 4.1440 1.6877 4.2250
Rh 2.0775 0.7838 6.0586
Rh 4.1428 4.8298 3.9574
```


No. 2
# RbCa2ZrRh
Calculated powder X-ray diffraction pattern, Cu Kα, 1.54184 Å. Input: the GGA-PBE geometry in Alexandria.

Top 8 peaks for 5 to 70 degrees two-theta, by angle:
| d_spacing | I/Imax |
| --- | --- |
| 3.747 | 73 |
| 3.671 | 34 |
| 3.018 | 82 |
| 2.650 | 100 |
| 2.545 | 45 |
| 1.874 | 35 |
| 1.836 | 65 |
| 1.509 | 33 |

Structural model:
```
5
Lattice="5.2993 0.0000 0.0000 0.0000 5.2993 0.0000 0.0000 0.0000 5.0908" Properties=species:S:1:pos:R:3 pbc="T T T"
Rb 0.0000 0.0000 0.0000
Ca 0.0000 2.6497 0.0000
Ca 2.6497 0.0000 0.0000
Zr 0.0000 0.0000 2.5454
Rh 2.6497 2.6497 2.5454
```


No. 3
# Rb3CaSb2Se6
Calculated powder X-ray diffraction pattern, Cu Kα, 1.54184 Å. Input: the GGA-PBE geometry in Alexandria.

Top 8 peaks for 5 to 70 degrees two-theta, by angle:
| d_spacing | I/Imax |
| --- | --- |
| 8.024 | 11 |
| 3.151 | 100 |
| 2.519 | 8 |
| 2.334 | 32 |
| 2.136 | 36 |
| 1.768 | 18 |
| 1.576 | 6 |
| 1.362 | 15 |

Structural model:
```
12
Lattice="3.6985 -6.4089 0.0000 3.6985 6.4089 0.0000 -2.4698 0.0000 8.0235" Properties=species:S:1:pos:R:3 pbc="T T T"
Rb 0.0000 0.0000 0.0000
Rb 3.6985 2.1091 0.0000
Rb 3.6985 -2.1091 0.0000
Ca 2.4636 0.0000 4.0118
Sb 2.4636 4.2701 4.0118
Sb 2.4636 -4.2701 4.0118
Se 1.1916 2.2034 2.4424
Se -0.0792 0.0000 5.5736
Se 1.1916 -2.2034 2.4424
Se 3.7356 2.2034 5.5811
Se 5.0064 0.0000 2.4499
Se 3.7356 -2.2034 5.5811
```